Entry 1:
Structure and simulated X-ray powder pattern of Li14MgSi4 (a structure optimized by DFT (GGA-PBE); Cu Kα).

Atomic structure:
Cell lengths 9.2167, 9.2167, 9.2167 Å; angles 109.51, 109.51, 109.40 degrees
Fractional coordinates of all 38 atoms:
Li  0.0180  0.6085  0.6662
Li  0.0395  0.7626  0.4733
Li  0.1018  0.1923  0.8338
Li  0.1581  0.2183  0.3731
Li  0.2150  0.8419  0.0602
Li  0.2374  0.7108  0.2769
Li  0.2507  0.1250  0.6257
Li  0.2892  0.5661  0.5267
Li  0.3161  0.5392  0.0267
Li  0.3585  0.2680  0.1662
Li  0.3750  0.7493  0.8743
Li  0.3915  0.0577  0.4095
Li  0.4339  0.9605  0.7231
Li  0.4608  0.4874  0.7769
Li  0.4993  0.6250  0.3743
Li  0.5126  0.2895  0.9733
Li  0.5350  0.0952  0.1269
Li  0.5919  0.4650  0.5602
Li  0.6482  0.9820  0.5905
Li  0.7105  0.6839  0.2231
Li  0.7320  0.8982  0.0905
Li  0.7817  0.1548  0.9398
Li  0.8077  0.6415  0.9095
Li  0.8452  0.7850  0.6269
Li  0.8750  0.5007  0.1257
Li  0.9048  0.0317  0.4398
Li  0.9423  0.3518  0.3338
Li  0.9683  0.4081  0.8731
Mg  0.0000  0.0000  0.0000
Mg  0.7500  0.2500  0.5000
Si  0.0360  0.8729  0.2455
Si  0.1226  0.3771  0.6631
Si  0.1271  0.3726  0.1631
Si  0.2094  0.9640  0.8369
Si  0.5406  0.8774  0.2545
Si  0.6229  0.2860  0.7455
Si  0.6274  0.7906  0.7545
Si  0.7140  0.4594  0.3369

Largest 8 diffraction maxima, most intense first, 10° ≤ 2θ ≤ 90°:
| 2θ (°) | I_rel |
| --- | --- |
| 39.7 | 100 |
| 23.6 | 88 |
| 43.4 | 85 |
| 20.4 | 74 |
| 41.6 | 36 |
| 46.8 | 32 |
| 69.6 | 30 |
| 31.4 | 28 |

Entry 2:
Structure and simulated X-ray powder pattern of AgSbS16F6 (a structure optimized by DFT (GGA-PBE); Cu Kα).

Atomic structure:
Cell lengths 10.2548, 10.2548, 16.3027 Å; angles 100.34, 100.34, 47.70 degrees
Fractional coordinates of all 48 atoms:
Ag  0.1696  0.8304  0.7500
Ag  0.8304  0.1696  0.2500
Sb  0.5000  0.5000  0.0000
Sb  0.5000  0.5000  0.5000
S  0.0121  0.2854  0.4388
S  0.0547  0.6382  0.8344
S  0.0576  0.1013  0.1494
S  0.0604  0.6902  0.2889
S  0.0890  0.2752  0.9159
S  0.0964  0.7026  0.1718
S  0.1013  0.0576  0.6494
S  0.1052  0.5022  0.6275
S  0.2217  0.5255  0.7401
S  0.2752  0.0890  0.4159
S  0.2854  0.0121  0.9388
S  0.2974  0.9036  0.3282
S  0.3098  0.9396  0.2111
S  0.3618  0.9453  0.6656
S  0.4745  0.7783  0.7599
S  0.4978  0.8948  0.8725
S  0.5022  0.1052  0.1275
S  0.5255  0.2217  0.2401
S  0.6382  0.0547  0.3344
S  0.6902  0.0604  0.7889
S  0.7026  0.0964  0.6718
S  0.7146  0.9879  0.0612
S  0.7248  0.9110  0.5841
S  0.7783  0.4745  0.2599
S  0.8948  0.4978  0.3725
S  0.8987  0.9424  0.3506
S  0.9036  0.2974  0.8282
S  0.9110  0.7248  0.0841
S  0.9396  0.3098  0.7111
S  0.9424  0.8987  0.8506
S  0.9453  0.3618  0.1656
S  0.9879  0.7146  0.5612
F  0.2584  0.6993  0.0231
F  0.3007  0.7416  0.4769
F  0.3548  0.4413  0.4641
F  0.4330  0.5535  0.6128
F  0.4413  0.3548  0.9641
F  0.4465  0.5670  0.8872
F  0.5535  0.4330  0.1128
F  0.5587  0.6452  0.0359
F  0.5670  0.4465  0.3872
F  0.6452  0.5587  0.5359
F  0.6993  0.2584  0.5231
F  0.7416  0.3007  0.9769

Largest 8 diffraction maxima, most intense first, 10° ≤ 2θ ≤ 90°:
| 2θ (°) | I_rel |
| --- | --- |
| 15.5 | 100 |
| 26.0 | 71 |
| 22.6 | 70 |
| 16.8 | 64 |
| 24.2 | 61 |
| 24.3 | 55 |
| 20.3 | 53 |
| 12.5 | 53 |

Entry 3:
Structure and simulated X-ray powder pattern of ZrNp4P5 (a structure optimized by DFT (GGA-PBE); Cu Kα).

Atomic structure:
Cell lengths 10.3684, 10.3684, 10.3684 Å; angles 158.32, 149.05, 38.11 degrees
Fractional coordinates of all 10 atoms:
Zr  0.0000  0.0000  0.0000
Np  0.1972  0.1972  0.0000
Np  0.4017  0.4017  0.0000
Np  0.5983  0.5983  0.0000
Np  0.8028  0.8028  0.0000
P  0.0959  0.5959  0.5000
P  0.2995  0.7995  0.5000
P  0.5000  0.0000  0.5000
P  0.7005  0.2005  0.5000
P  0.9041  0.4041  0.5000

Largest 8 diffraction maxima, most intense first, 10° ≤ 2θ ≤ 90°:
| 2θ (°) | I_rel |
| --- | --- |
| 27.9 | 100 |
| 32.4 | 96 |
| 46.4 | 47 |
| 55.0 | 33 |
| 77.1 | 22 |
| 55.2 | 16 |
| 57.8 | 12 |
| 57.6 | 12 |

Entry 4:
Structure and simulated X-ray powder pattern of KSm3Cl8 (a structure optimized by DFT (GGA-PBE); Cu Kα).

Atomic structure:
Cell lengths 9.1193, 9.1193, 9.1193 Å; angles 50.19, 50.19, 50.19 degrees
Fractional coordinates of all 12 atoms:
K  0.0000  0.0000  0.0000
Sm  0.0000  0.0000  0.5000
Sm  0.0000  0.5000  0.0000
Sm  0.5000  0.0000  0.0000
Cl  0.2326  0.7364  0.7364
Cl  0.2399  0.2399  0.2399
Cl  0.2636  0.2636  0.7674
Cl  0.2636  0.7674  0.2636
Cl  0.7364  0.2326  0.7364
Cl  0.7364  0.7364  0.2326
Cl  0.7601  0.7601  0.7601
Cl  0.7674  0.2636  0.2636

Largest 8 diffraction maxima, most intense first, 10° ≤ 2θ ≤ 90°:
| 2θ (°) | I_rel |
| --- | --- |
| 11.1 | 100 |
| 30.6 | 70 |
| 13.7 | 30 |
| 40.5 | 27 |
| 26.9 | 24 |
| 37.7 | 22 |
| 47.0 | 22 |
| 48.4 | 15 |

Entry 5:
Structure and simulated X-ray powder pattern of VZn3Cu (a structure optimized by DFT (GGA-PBE); Cu Kα).

Atomic structure:
Cell lengths 7.8602, 7.8602, 5.6887 Å; angles 101.35, 101.35, 23.71 degrees
Fractional coordinates of all 10 atoms:
V  0.2080  0.2080  0.3648
V  0.7920  0.7920  0.6352
Zn  0.0003  0.0003  0.2364
Zn  0.9997  0.9997  0.7636
Zn  0.1951  0.1951  0.8551
Zn  0.3995  0.3995  0.4613
Zn  0.6005  0.6005  0.5387
Zn  0.8049  0.8049  0.1449
Cu  0.3966  0.3966  0.9439
Cu  0.6034  0.6034  0.0561

Largest 8 diffraction maxima, most intense first, 10° ≤ 2θ ≤ 90°:
| 2θ (°) | I_rel |
| --- | --- |
| 41.0 | 100 |
| 42.3 | 92 |
| 43.4 | 42 |
| 44.1 | 39 |
| 57.0 | 18 |
| 74.3 | 15 |
| 74.8 | 15 |
| 61.5 | 13 |

Entry 6:
Structure and simulated X-ray powder pattern of InPd3Pb2 (a structure optimized by DFT (GGA-PBE); Cu Kα).

Atomic structure:
Cell lengths 7.1919, 7.1919, 5.6409 Å; angles 90.00, 90.00, 64.43 degrees
Fractional coordinates of all 12 atoms:
In  0.1864  0.8136  0.7500
In  0.8136  0.1864  0.2500
Pd  0.1563  0.1563  0.0000
Pd  0.1563  0.1563  0.5000
Pd  0.5000  0.5000  0.0000
Pd  0.5000  0.5000  0.5000
Pd  0.8437  0.8437  0.0000
Pd  0.8437  0.8437  0.5000
Pb  0.1542  0.5069  0.2500
Pb  0.4931  0.8458  0.2500
Pb  0.5069  0.1542  0.7500
Pb  0.8458  0.4931  0.7500

Largest 8 diffraction maxima, most intense first, 10° ≤ 2θ ≤ 90°:
| 2θ (°) | I_rel |
| --- | --- |
| 29.5 | 100 |
| 41.8 | 61 |
| 40.7 | 57 |
| 39.7 | 43 |
| 28.1 | 42 |
| 44.7 | 25 |
| 61.3 | 23 |
| 74.2 | 22 |